No. 1
Calculated PXRD pattern of MnGaRh2N for CuKα, from the GGA-PBE geometry in Alexandria.

Peak list (6 most intense, 10 to 90 degrees two-theta, sorted by position)
h k l  d_spacing  Rel. int.
0 0 1  3.405  36
1 0 1  2.756  34
1 1 1  2.376  97
2 0 0  2.346  100
2 2 0  1.659  33
2 0 2  1.378  34

Structural model:
a = 4.692 Å, b = 4.692 Å, c = 3.405 Å
α = 90.00°, β = 90.00°, γ = 90.00°
Sites, in units of the cell vectors:
Mn 0.000 0.000 0.000
Ga 0.500 0.500 0.500
Rh 0.000 0.500 0.000
Rh 0.500 0.000 0.000
N 0.000 0.000 0.500

---

No. 2
Calculated PXRD pattern of Pa2Ge2PtN2 for CuKα, from the GGA-PBE geometry in Alexandria.

Peak list (6 most intense, 10 to 90 degrees two-theta, sorted by position)
h k l  d_spacing  Rel. int.
1 0 1  3.112  100
0 1 2  2.859  46
0 1 4  2.243  31
1 1 0  1.855  32
1 0 6  1.752  21
1 1 5  1.491  23

Structural model:
a = 3.709 Å, b = 3.709 Å, c = 12.537 Å
α = 90.00°, β = 90.00°, γ = 120.00°
Sites, in units of the cell vectors:
Pa 0.333 0.667 0.120
Pa 0.667 0.333 0.880
Ge 0.000 0.000 0.310
Ge 0.000 0.000 0.690
Pt 0.000 0.000 0.500
N 0.333 0.667 0.932
N 0.667 0.333 0.068

---

Please write out number 2 again, unchanged.
Calculated PXRD pattern of Pa2Ge2PtN2 for CuKα, from the GGA-PBE geometry in Alexandria.

Peak list (6 most intense, 10 to 90 degrees two-theta, sorted by position)
h k l  d_spacing  Rel. int.
1 0 1  3.112  100
0 1 2  2.859  46
0 1 4  2.243  31
1 1 0  1.855  32
1 0 6  1.752  21
1 1 5  1.491  23

Structural model:
a = 3.709 Å, b = 3.709 Å, c = 12.537 Å
α = 90.00°, β = 90.00°, γ = 120.00°
Sites, in units of the cell vectors:
Pa 0.333 0.667 0.120
Pa 0.667 0.333 0.880
Ge 0.000 0.000 0.310
Ge 0.000 0.000 0.690
Pt 0.000 0.000 0.500
N 0.333 0.667 0.932
N 0.667 0.333 0.068